Record 1
This entry pairs a crystal structure of Nd4Sb2Se with its computed PXRD pattern. Radiation: Cu Ka. Structure: a cell relaxed with GGA-PBE.
Intensities are scaled so that the largest is 100.

Crystal structure
```
data_Nd4Sb2Se
_chemical_formula_sum 'Nd16 Sb8 Se4'
_symmetry_space_group_name_H-M 'I -4 2 d'
_symmetry_Int_Tables_number 122
_symmetry_space_group_name_Hall 'I -4 2bw'
_cell_length_a 9.2719
_cell_length_b 9.2719
_cell_length_c 9.5259
_cell_angle_alpha 90.00
_cell_angle_beta 90.00
_cell_angle_gamma 90.00
loop_
_atom_site_label
_atom_site_fract_x
_atom_site_fract_y
_atom_site_fract_z
Nd1 0.0719 0.6919 0.4484
Sb1 0.1159 0.7500 0.1250
Se1 0.0000 0.0000 0.5000
```

Main lines, in order of rising 2θ (2θ from 10° to 80°):
| Position (°2θ) | I/Imax |
| --- | --- |
| 29.74 | 47 |
| 30.46 | 100 |
| 35.61 | 47 |
| 35.97 | 23 |
| 36.18 | 22 |
| 45.38 | 11 |
| 47.85 | 17 |
| 49.68 | 16 |
| 50.12 | 13 |
| 61.62 | 10 |



Record 2
This entry pairs a crystal structure of Nd4SbSe2 with its computed PXRD pattern. Radiation: Cu Ka. Structure: a cell relaxed with GGA-PBE.
Intensities are scaled so that the largest is 100.

Crystal structure
```
data_Nd4SbSe2
_chemical_formula_sum 'Nd16 Sb4 Se8'
_symmetry_space_group_name_H-M 'C m c m'
_symmetry_Int_Tables_number 63
_symmetry_space_group_name_Hall '-C 2c 2'
_cell_length_a 4.2641
_cell_length_b 13.8581
_cell_length_c 14.1875
_cell_angle_alpha 90.00
_cell_angle_beta 90.00
_cell_angle_gamma 90.00
loop_
_atom_site_label
_atom_site_fract_x
_atom_site_fract_y
_atom_site_fract_z
Nd1 0.0000 0.0000 0.0000
Nd2 0.0000 0.2726 0.1218
Nd3 0.0000 0.4394 0.7500
Sb1 0.0000 0.1053 0.7500
Se1 0.0000 0.3634 0.5610
```

Main lines, in order of rising 2θ (2θ from 10° to 80°):
| Position (°2θ) | I/Imax |
| --- | --- |
| 28.27 | 80 |
| 28.49 | 22 |
| 28.92 | 26 |
| 29.19 | 100 |
| 31.21 | 51 |
| 38.67 | 40 |
| 42.40 | 32 |
| 43.39 | 28 |
| 51.74 | 30 |
| 70.20 | 20 |



Record 3
This entry pairs a crystal structure of Nd5SbSe5 with its computed PXRD pattern. Radiation: Cu Ka. Structure: a cell relaxed with GGA-PBE.
Intensities are scaled so that the largest is 100.

Crystal structure
```
data_Nd5SbSe5
_chemical_formula_sum 'Nd10 Sb2 Se10'
_symmetry_space_group_name_H-M 'C 1 2/m 1'
_symmetry_Int_Tables_number 12
_cell_length_a 13.4860
_cell_length_b 6.0707
_cell_length_c 8.5838
_cell_angle_alpha 90.00
_cell_angle_beta 108.35
_cell_angle_gamma 90.00
loop_
_symmetry_equiv_pos_as_xyz
'x,y,z'
'-x,-y,-z'
'-x,y,-z'
'x,-y,z'
'x+1/2,y+1/2,z'
'-x+1/2,-y+1/2,-z'
'-x+1/2,y+1/2,-z'
'x+1/2,-y+1/2,z'
loop_
_atom_site_label
_atom_site_fract_x
_atom_site_fract_y
_atom_site_fract_z
Nd1 0.0000 0.0000 0.0000
Nd2 0.1651 0.5000 0.8219
Nd3 0.1683 0.5000 0.3426
Sb1 0.0000 0.5000 0.0000
Se1 0.0000 0.5000 0.5000
Se2 0.1645 0.0000 0.3334
Se3 0.1713 0.0000 0.8391
```

Main lines, in order of rising 2θ (2θ from 10° to 80°):
| Position (°2θ) | I/Imax |
| --- | --- |
| 29.45 | 100 |
| 29.57 | 50 |
| 42.12 | 56 |
| 42.21 | 37 |
| 42.37 | 18 |
| 52.20 | 20 |
| 52.42 | 20 |
| 69.22 | 13 |
| 69.30 | 21 |
| 69.53 | 12 |



Record 4
This entry pairs a crystal structure of NdSb2Se4 with its computed PXRD pattern. Radiation: Cu Ka. Structure: a cell relaxed with GGA-PBE.
Intensities are scaled so that the largest is 100.

Crystal structure
```
data_NdSb2Se4
_chemical_formula_sum 'Nd2 Sb4 Se8'
_symmetry_space_group_name_H-M 'I 4/m'
_symmetry_Int_Tables_number 87
_symmetry_space_group_name_Hall '-I 4'
_cell_length_a 7.6704
_cell_length_b 7.6704
_cell_length_c 7.6986
_cell_angle_alpha 90.00
_cell_angle_beta 90.00
_cell_angle_gamma 90.00
loop_
_atom_site_label
_atom_site_fract_x
_atom_site_fract_y
_atom_site_fract_z
Nd1 0.0000 0.0000 0.0000
Sb1 0.0000 0.5000 0.2500
Se1 0.1795 0.7046 0.5000
```

Main lines, in order of rising 2θ (2θ from 10° to 80°):
| Position (°2θ) | I/Imax |
| --- | --- |
| 16.32 | 35 |
| 23.15 | 15 |
| 28.46 | 100 |
| 33.00 | 70 |
| 44.12 | 75 |
| 47.22 | 12 |
| 50.47 | 18 |
| 58.84 | 15 |
| 61.62 | 17 |
| 76.54 | 23 |



Record 5
This entry pairs a crystal structure of Nd2SbSe4 with its computed PXRD pattern. Radiation: Cu Ka. Structure: a cell relaxed with GGA-PBE.
Intensities are scaled so that the largest is 100.

Crystal structure
```
data_Nd2SbSe4
_chemical_formula_sum 'Nd4 Sb2 Se8'
_symmetry_space_group_name_H-M 'C 1 2/m 1'
_symmetry_Int_Tables_number 12
_cell_length_a 15.0769
_cell_length_b 4.4236
_cell_length_c 7.4150
_cell_angle_alpha 90.00
_cell_angle_beta 118.85
_cell_angle_gamma 90.00
loop_
_symmetry_equiv_pos_as_xyz
'x,y,z'
'-x,-y,-z'
'-x,y,-z'
'x,-y,z'
'x+1/2,y+1/2,z'
'-x+1/2,-y+1/2,-z'
'-x+1/2,y+1/2,-z'
'x+1/2,-y+1/2,z'
loop_
_atom_site_label
_atom_site_fract_x
_atom_site_fract_y
_atom_site_fract_z
Nd1 0.2311 0.0000 0.2212
Sb1 0.0000 0.5000 0.5000
Se1 0.1204 0.5000 0.9405
Se2 0.1338 0.0000 0.4865
```

Main lines, in order of rising 2θ (2θ from 10° to 80°):
| Position (°2θ) | I/Imax |
| --- | --- |
| 13.41 | 38 |
| 23.41 | 56 |
| 27.01 | 96 |
| 27.72 | 49 |
| 35.94 | 75 |
| 36.17 | 100 |
| 36.64 | 37 |
| 40.80 | 47 |
| 41.87 | 82 |
| 47.87 | 31 |



Record 6
This entry pairs a crystal structure of Nd5Si2Sb with its computed PXRD pattern. Radiation: Cu Ka. Structure: a cell relaxed with GGA-PBE.
Intensities are scaled so that the largest is 100.

Crystal structure
```
data_Nd5Si2Sb
_chemical_formula_sum 'Nd20 Si8 Sb4'
_symmetry_space_group_name_H-M 'I 4/m c m'
_symmetry_Int_Tables_number 140
_symmetry_space_group_name_Hall '-I 4 2c'
_cell_length_a 7.9266
_cell_length_b 7.9266
_cell_length_c 14.3504
_cell_angle_alpha 90.00
_cell_angle_beta 90.00
_cell_angle_gamma 90.00
loop_
_atom_site_label
_atom_site_fract_x
_atom_site_fract_y
_atom_site_fract_z
Nd1 0.0000 0.0000 0.0000
Nd2 0.1711 0.3289 0.1395
Si1 0.1205 0.3795 0.5000
Sb1 0.0000 0.0000 0.2500
```

Main lines, in order of rising 2θ (2θ from 10° to 80°):
| Position (°2θ) | I/Imax |
| --- | --- |
| 25.89 | 52 |
| 29.56 | 44 |
| 31.41 | 100 |
| 31.93 | 27 |
| 33.70 | 78 |
| 35.82 | 67 |
| 51.21 | 24 |
| 51.52 | 33 |
| 55.45 | 36 |
| 63.81 | 19 |



Record 7
This entry pairs a crystal structure of NdSm2Sb3 with its computed PXRD pattern. Radiation: Cu Ka. Structure: a cell relaxed with GGA-PBE.
Intensities are scaled so that the largest is 100.

Crystal structure
```
data_NdSm2Sb3
_chemical_formula_sum 'Nd6 Sm12 Sb18'
_symmetry_space_group_name_H-M 'R -3 c'
_symmetry_Int_Tables_number 167
_symmetry_space_group_name_Hall '-R 3 2"c'
_cell_length_a 7.7041
_cell_length_b 7.7041
_cell_length_c 23.2241
_cell_angle_alpha 90.00
_cell_angle_beta 90.00
_cell_angle_gamma 120.00
loop_
_atom_site_label
_atom_site_fract_x
_atom_site_fract_y
_atom_site_fract_z
Nd1 0.0000 0.0000 0.0000
Sm1 0.0000 0.0000 0.1666
Sb1 0.0000 0.3313 0.2500
```

Main lines, in order of rising 2θ (2θ from 10° to 80°):
| Position (°2θ) | I/Imax |
| --- | --- |
| 23.09 | 21 |
| 25.83 | 47 |
| 32.80 | 100 |
| 40.56 | 46 |
| 42.15 | 13 |
| 46.95 | 10 |
| 48.72 | 8 |
| 53.11 | 25 |
| 63.75 | 24 |
| 68.90 | 23 |



Record 8
This entry pairs a crystal structure of NdSm3Sb3 with its computed PXRD pattern. Radiation: Cu Ka. Structure: a cell relaxed with GGA-PBE.
Intensities are scaled so that the largest is 100.

Crystal structure
```
data_NdSm3Sb3
_chemical_formula_sum 'Nd4 Sm12 Sb12'
_symmetry_space_group_name_H-M 'P 21 3'
_symmetry_Int_Tables_number 198
_symmetry_space_group_name_Hall 'P 2ac 2ab 3'
_cell_length_a 9.4277
_cell_length_b 9.4277
_cell_length_c 9.4277
_cell_angle_alpha 90.00
_cell_angle_beta 90.00
_cell_angle_gamma 90.00
loop_
_atom_site_label
_atom_site_fract_x
_atom_site_fract_y
_atom_site_fract_z
Nd1 0.0703 0.4297 0.5703
Sm1 0.0720 0.5720 0.9280
Sm2 0.1795 0.8205 0.3205
Sm3 0.1800 0.1800 0.1800
Sb1 0.0005 0.2521 0.8764
```

Main lines, in order of rising 2θ (2θ from 10° to 80°):
| Position (°2θ) | I/Imax |
| --- | --- |
| 29.97 | 100 |
| 35.63 | 66 |
| 42.90 | 10 |
| 45.11 | 9 |
| 47.23 | 17 |
| 49.29 | 24 |
| 60.54 | 25 |
| 62.29 | 12 |
| 64.00 | 14 |
| 73.87 | 15 |



Record 9
This entry pairs a crystal structure of NdSm3Sb2 with its computed PXRD pattern. Radiation: Cu Ka. Structure: a cell relaxed with GGA-PBE.
Intensities are scaled so that the largest is 100.

Crystal structure
```
data_NdSm3Sb2
_chemical_formula_sum 'Nd1 Sm3 Sb2'
_symmetry_space_group_name_H-M 'P -4 m 2'
_symmetry_Int_Tables_number 115
_cell_length_a 4.5595
_cell_length_b 4.5595
_cell_length_c 8.7747
_cell_angle_alpha 90.00
_cell_angle_beta 90.00
_cell_angle_gamma 90.00
loop_
_symmetry_equiv_pos_as_xyz
'x,y,z'
'y,-x,-z'
'-x,-y,z'
'-y,x,-z'
'-x,y,z'
'-y,-x,-z'
'x,-y,z'
'y,x,-z'
loop_
_atom_site_label
_atom_site_fract_x
_atom_site_fract_y
_atom_site_fract_z
Nd1 0.0000 0.0000 0.0000
Sm1 0.0000 0.5000 0.3552
Sm2 0.5000 0.5000 0.0000
Sb1 0.0000 0.5000 0.7189
```

Main lines, in order of rising 2θ (2θ from 10° to 80°):
| Position (°2θ) | I/Imax |
| --- | --- |
| 29.52 | 100 |
| 30.56 | 41 |
| 34.52 | 84 |
| 36.50 | 21 |
| 39.53 | 58 |
| 50.78 | 40 |
| 57.14 | 20 |
| 65.62 | 20 |
| 66.19 | 18 |
| 68.50 | 23 |



Record 10
This entry pairs a crystal structure of Nd5Sm5Sb6 with its computed PXRD pattern. Radiation: Cu Ka. Structure: a cell relaxed with GGA-PBE.
Intensities are scaled so that the largest is 100.

Crystal structure
```
data_Nd5Sm5Sb6
_chemical_formula_sum 'Nd10 Sm10 Sb12'
_symmetry_space_group_name_H-M 'A m m 2'
_symmetry_Int_Tables_number 38
_cell_length_a 6.4783
_cell_length_b 16.1110
_cell_length_c 9.2738
_cell_angle_alpha 90.00
_cell_angle_beta 90.00
_cell_angle_gamma 90.00
loop_
_symmetry_equiv_pos_as_xyz
'x,y,z'
'-x,-y,z'
'-x,y,z'
'x,-y,z'
'x,y+1/2,z+1/2'
'-x,-y+1/2,z+1/2'
'-x,y+1/2,z+1/2'
'x,-y+1/2,z+1/2'
loop_
_atom_site_label
_atom_site_fract_x
_atom_site_fract_y
_atom_site_fract_z
Nd1 0.0000 0.0000 0.0000
Nd2 0.2501 0.1663 0.7482
Sm1 0.0000 0.1250 0.3727
Sm2 0.5000 0.0000 0.4959
Sm3 0.5000 0.1251 0.1232
Sb1 0.0000 0.0000 0.6314
Sb2 0.0000 0.1935 0.0560
Sb3 0.5000 0.0000 0.8632
Sb4 0.5000 0.1923 0.4404
```

Main lines, in order of rising 2θ (2θ from 10° to 80°):
| Position (°2θ) | I/Imax |
| --- | --- |
| 27.54 | 18 |
| 29.38 | 31 |
| 29.73 | 18 |
| 32.53 | 100 |
| 33.42 | 58 |
| 33.74 | 86 |
| 48.22 | 24 |
| 51.94 | 27 |
| 53.65 | 14 |
| 67.57 | 15 |



Record 11
This entry pairs a crystal structure of NdSm3Sb3 with its computed PXRD pattern. Radiation: Cu Ka. Structure: a cell relaxed with GGA-PBE.
Intensities are scaled so that the largest is 100.

Crystal structure
```
data_NdSm3Sb3
_chemical_formula_sum 'Nd4 Sm12 Sb12'
_symmetry_space_group_name_H-M 'C 1 c 1'
_symmetry_Int_Tables_number 9
_cell_length_a 9.4262
_cell_length_b 13.3425
_cell_length_c 8.1576
_cell_angle_alpha 90.00
_cell_angle_beta 125.29
_cell_angle_gamma 90.00
loop_
_symmetry_equiv_pos_as_xyz
'x,y,z'
'x,-y,z+1/2'
'x+1/2,y+1/2,z'
'x+1/2,-y+1/2,z+1/2'
loop_
_atom_site_label
_atom_site_fract_x
_atom_site_fract_y
_atom_site_fract_z
Nd1 0.0000 0.0706 0.0000
Sm1 0.0373 0.2495 0.3571
Sm2 0.2503 0.3214 0.0006
Sm3 0.4279 0.9997 0.1409
Sb1 0.1806 0.1266 0.7506
Sb2 0.2381 0.4367 0.6231
Sb3 0.3675 0.1872 0.3753
```

Main lines, in order of rising 2θ (2θ from 10° to 80°):
| Position (°2θ) | I/Imax |
| --- | --- |
| 29.98 | 100 |
| 35.64 | 66 |
| 42.91 | 10 |
| 45.12 | 9 |
| 47.24 | 17 |
| 49.29 | 24 |
| 60.55 | 24 |
| 62.30 | 12 |
| 64.00 | 12 |
| 73.87 | 11 |



Record 12
This entry pairs a crystal structure of Nd4SmSb5 with its computed PXRD pattern. Radiation: Cu Ka. Structure: a cell relaxed with GGA-PBE.
Intensities are scaled so that the largest is 100.

Crystal structure
```
data_Nd4SmSb5
_chemical_formula_sum 'Nd8 Sm2 Sb10'
_symmetry_space_group_name_H-M 'I 4/m m m'
_symmetry_Int_Tables_number 139
_symmetry_space_group_name_Hall '-I 4 2'
_cell_length_a 4.5144
_cell_length_b 4.5144
_cell_length_c 31.9018
_cell_angle_alpha 90.00
_cell_angle_beta 90.00
_cell_angle_gamma 90.00
loop_
_atom_site_label
_atom_site_fract_x
_atom_site_fract_y
_atom_site_fract_z
Nd1 0.0000 0.0000 0.0998
Nd2 0.0000 0.0000 0.3003
Sm1 0.0000 0.0000 0.5000
Sb1 0.0000 0.0000 0.0000
Sb2 0.0000 0.0000 0.2000
Sb3 0.0000 0.0000 0.4007
```

Main lines, in order of rising 2θ (2θ from 10° to 80°):
| Position (°2θ) | I/Imax |
| --- | --- |
| 24.15 | 2 |
| 27.96 | 100 |
| 39.95 | 77 |
| 47.23 | 1 |
| 49.47 | 27 |
| 57.78 | 13 |
| 65.38 | 35 |
| 72.55 | 26 |



Record 13
This entry pairs a crystal structure of NdSmSb2 with its computed PXRD pattern. Radiation: Cu Ka. Structure: a cell relaxed with GGA-PBE.
Intensities are scaled so that the largest is 100.

Crystal structure
```
data_NdSmSb2
_chemical_formula_sum 'Nd2 Sm2 Sb4'
_symmetry_space_group_name_H-M 'P m m n'
_symmetry_Int_Tables_number 59
_cell_length_a 4.4994
_cell_length_b 6.3582
_cell_length_c 8.9959
_cell_angle_alpha 90.00
_cell_angle_beta 90.00
_cell_angle_gamma 90.00
loop_
_symmetry_equiv_pos_as_xyz
'x,y,z'
'-x,-y,-z'
'-x+1/2,-y+1/2,z'
'x+1/2,y+1/2,-z'
'x+1/2,-y,-z'
'-x+1/2,y,z'
'-x,y+1/2,-z'
'x,-y+1/2,z'
loop_
_atom_site_label
_atom_site_fract_x
_atom_site_fract_y
_atom_site_fract_z
Nd1 0.2500 0.2500 0.1254
Sm1 0.2500 0.2500 0.6246
Sb1 0.2500 0.7500 0.1275
Sb2 0.2500 0.7500 0.6226
```

Main lines, in order of rising 2θ (2θ from 10° to 80°):
| Position (°2θ) | I/Imax |
| --- | --- |
| 24.24 | 2 |
| 28.06 | 100 |
| 40.10 | 77 |
| 47.40 | 1 |
| 49.65 | 27 |
| 58.00 | 13 |
| 65.64 | 35 |
| 72.85 | 26 |